(1)
Diffraction record for LiFeCl6. The PXRD pattern is calculated, not measured: it uses a crystal structure in Alexandria, relaxed with PBE and copper Kα.

Structure:
```
LiFeCl6
1.0
7.025 0.000 0.000
0.000 11.071 0.000
-1.551 0.000 6.635
Li Fe Cl
2 2 12
Direct
0.000 0.000 0.000
0.500 0.500 0.000
0.000 0.000 0.500
0.500 0.500 0.500
0.023 0.141 0.279
0.023 0.859 0.279
0.063 0.500 0.883
0.437 0.000 0.117
0.477 0.359 0.721
0.477 0.641 0.721
0.523 0.359 0.279
0.523 0.641 0.279
0.563 0.000 0.883
0.937 0.500 0.117
0.977 0.141 0.721
0.977 0.859 0.721
```

Peak list (10 most intense, 2θ = 10–90°, sorted by position)
| 2θ (°) | d/Å | I_rel |
| --- | --- | --- |
| 15.2 | 5.819 | 83.0 |
| 16.0 | 5.535 | 55.8 |
| 18.2 | 4.867 | 53.9 |
| 22.2 | 4.007 | 100.0 |
| 26.1 | 3.420 | 92.0 |
| 27.5 | 3.248 | 42.0 |
| 31.4 | 2.845 | 16.1 |
| 36.6 | 2.457 | 47.0 |
| 42.5 | 2.125 | 25.2 |
| 49.6 | 1.837 | 32.4 |

***

(2)
Diffraction record for Li3FeCl6. The PXRD pattern is calculated, not measured: it uses a crystal structure in Alexandria, relaxed with PBE and copper Kα.

Structure:
```
Li3FeCl6
1.0
5.238 3.024 4.206
-5.238 3.024 4.206
0.000 -6.048 4.206
Li Fe Cl
6 2 12
Direct
0.068 0.593 0.741
0.259 0.932 0.407
0.407 0.259 0.932
0.593 0.741 0.068
0.741 0.068 0.593
0.932 0.407 0.259
0.000 0.000 0.000
0.500 0.500 0.500
0.047 0.925 0.703
0.075 0.297 0.953
0.206 0.568 0.422
0.297 0.953 0.075
0.422 0.206 0.568
0.432 0.578 0.794
0.568 0.422 0.206
0.578 0.794 0.432
0.703 0.047 0.925
0.794 0.432 0.578
0.925 0.703 0.047
0.953 0.075 0.297
```

Peak list (10 most intense, 2θ = 10–90°, sorted by position)
| 2θ (°) | d/Å | I_rel |
| --- | --- | --- |
| 16.9 | 5.238 | 79.9 |
| 17.1 | 5.180 | 100.0 |
| 24.2 | 3.683 | 55.7 |
| 29.7 | 3.013 | 97.7 |
| 38.5 | 2.337 | 64.9 |
| 38.8 | 2.322 | 90.8 |
| 45.9 | 1.979 | 55.0 |
| 53.0 | 1.727 | 18.7 |
| 56.1 | 1.640 | 29.1 |
| 64.1 | 1.452 | 21.9 |

***

(3)
Diffraction record for LiFeSnCl5. The PXRD pattern is calculated, not measured: it uses a crystal structure in Alexandria, relaxed with PBE and copper Kα.

Structure:
```
LiFeSnCl5
1.0
5.066 -4.661 0.000
5.066 4.661 0.000
-4.957 0.000 9.116
Li Fe Sn Cl
2 2 2 10
Direct
0.000 0.000 0.000
0.000 0.000 0.500
0.271 0.729 0.750
0.729 0.271 0.250
0.331 0.669 0.250
0.669 0.331 0.750
0.023 0.977 0.750
0.211 0.694 0.966
0.259 0.358 0.642
0.306 0.789 0.534
0.358 0.259 0.142
0.642 0.741 0.858
0.694 0.211 0.466
0.741 0.642 0.358
0.789 0.306 0.034
0.977 0.023 0.250
```

Peak list (10 most intense, 2θ = 10–90°, sorted by position)
| 2θ (°) | d/Å | I_rel |
| --- | --- | --- |
| 13.8 | 6.432 | 29.0 |
| 19.5 | 4.558 | 50.7 |
| 19.6 | 4.531 | 41.1 |
| 19.9 | 4.451 | 100.0 |
| 20.2 | 4.406 | 56.4 |
| 27.7 | 3.218 | 61.4 |
| 30.5 | 2.934 | 42.0 |
| 34.6 | 2.592 | 59.8 |
| 39.0 | 2.307 | 26.0 |
| 42.1 | 2.146 | 27.1 |